Diffraction record for Pa2Te2AsN. The PXRD pattern is simulated, not measured: it uses a cell relaxed with PBE and Cu Kα.
Kinematic intensities with the Lorentz-polarization factor, no thermal factor.

Crystal structure
a b c (Å): 6.867 14.837 5.740
angles (deg): 90.00 90.00 90.00
Space group Ibam (No. 72)
Unique sites:
Pa 0.182 0.090 0.000 x8
Te 0.218 0.189 0.500 x8
As 0.000 0.500 0.250 x4
N 0.000 0.000 0.250 x4

Peak list (6 most intense, 5 to 70 degrees two-theta, in order of rising 2θ)
Position (°2θ), I/Imax, h k l
23.5, 26, 1 2 1
26.0, 24, 2 0 0
31.2, 31, 0 0 2
31.5, 100, 1 4 1
35.5, 34, 2 3 1
41.0, 30, 2 0 2

***

Diffraction record for ThAsPdN. The PXRD pattern is simulated, not measured: it uses a cell relaxed with PBE and Cu Kα.
Kinematic intensities with the Lorentz-polarization factor, no thermal factor.

Crystal structure
a b c (Å): 3.473 3.473 12.216
angles (deg): 90.00 90.00 90.00
Space group I4mm (No. 107)
Unique sites:
Th 0.000 0.000 0.000 x2
As 0.000 0.000 0.272 x2
Pd 0.000 0.000 0.695 x2
N 0.000 0.000 0.514 x2

Peak list (6 most intense, 5 to 70 degrees two-theta, in order of rising 2θ)
Position (°2θ), I/Imax, h k l
26.7, 44, 1 0 1
29.2, 36, 0 0 4
33.9, 100, 1 0 3
36.6, 65, 1 1 0
47.5, 38, 1 1 4
64.2, 33, 2 1 3

***

Diffraction record for Pm3AsN5. The PXRD pattern is simulated, not measured: it uses a cell relaxed with PBE and Cu Kα.
Kinematic intensities with the Lorentz-polarization factor, no thermal factor.

Crystal structure
a b c (Å): 6.715 6.715 11.285
angles (deg): 90.00 90.00 90.00
Space group I4/mcm (No. 140)
Unique sites:
Pm 0.000 0.000 0.250 x4
Pm 0.177 0.323 0.000 x8
As 0.000 0.500 0.250 x4
N 0.000 0.000 0.000 x4
N 0.146 0.354 0.353 x16

Peak list (6 most intense, 5 to 70 degrees two-theta, in order of rising 2θ)
Position (°2θ), I/Imax, h k l
30.8, 46, 2 1 1
31.0, 100, 2 0 2
31.7, 38, 0 0 4
37.9, 24, 2 2 0
38.4, 47, 2 1 3
50.2, 20, 2 2 4

***

> Number 3 is which compound?

Pm3AsN5

***

> Which formula does entry 2 have?

ThAsPdN